The following is a computed PXRD pattern of HfAlFe. It was derived from a cell relaxed with GGA-PBE, using a wavelength of 1.5418 Å.
Lines closer than 0.1° are merged.

Atomic structure:
a = 8.237 Å, b = 5.083 Å, c = 8.718 Å
α = 90.00°, β = 90.00°, γ = 90.00°
Space group Amm2 (No. 38)
One atom of each set of equivalent atoms:
Hf 0.177 0.000 0.000
Hf 0.302 0.000 0.336
Al 0.241 0.000 0.678
Al 0.500 0.245 0.082
Fe 0.000 0.000 0.502
Fe 0.000 0.240 0.261
Fe 0.500 0.000 0.837

Principal peaks in the range 2θ from 5° to 70°, most intense first:
two_theta  d/Å  Rel. int.  hkl
38.7  2.327  100  3 1 1
42.0  2.151  56  2 1 3
35.6  2.523  41  0 1 3
42.6  2.121  29  1 2 2
35.3  2.541  26  0 2 0
20.2  4.391  23  0 1 1
41.8  2.163  23  2 2 0
29.7  3.004  20  2 1 1
20.4  4.359  18  0 0 2
60.0  1.542  17  5 0 2
65.6  1.423  14  3 3 1
68.0  1.379  14  2 3 3

---

The following is a computed PXRD pattern of HfAlFe. It was derived from a cell relaxed with GGA-PBE, using a wavelength of 1.5418 Å.
Lines closer than 0.1° are merged.

Atomic structure:
a = 8.279 Å, b = 5.087 Å, c = 8.862 Å
α = 90.00°, β = 90.00°, γ = 90.00°
Space group Amm2 (No. 38)
One atom of each set of equivalent atoms:
Hf 0.182 0.000 0.000
Hf 0.295 0.000 0.670
Al 0.000 0.000 0.500
Al 0.500 0.000 0.167
Al 0.500 0.248 0.416
Fe 0.000 0.249 0.248
Fe 0.245 0.000 0.330

Principal peaks in the range 2θ from 5° to 70°, most intense first:
two_theta  d/Å  Rel. int.  hkl
38.5  2.341  100  3 0 2
41.5  2.174  76  2 1 3
35.1  2.554  73  0 1 3
41.7  2.167  45  2 2 0
21.5  4.139  36  2 0 0
35.3  2.543  30  0 2 0
20.1  4.417  28  0 1 1
42.4  2.131  25  1 2 2
22.8  3.896  24  1 1 1
59.6  1.551  22  5 1 1
29.6  3.021  20  2 0 2
67.6  1.386  18  2 3 3

---

The following is a computed PXRD pattern of HfAl8Fe4. It was derived from a cell relaxed with GGA-PBE, using a wavelength of 1.5418 Å.
Lines closer than 0.1° are merged.

Atomic structure:
a = 8.569 Å, b = 8.569 Å, c = 4.990 Å
α = 90.00°, β = 90.00°, γ = 90.00°
Space group I4/mmm (No. 139)
One atom of each set of equivalent atoms:
Hf 0.000 0.000 0.000
Al 0.000 0.217 0.500
Al 0.000 0.337 0.000
Fe 0.250 0.250 0.250

Principal peaks in the range 2θ from 5° to 70°, most intense first:
two_theta  d/Å  Rel. int.  hkl
42.1  2.144  100  4 0 0
29.4  3.035  77  2 2 0
41.9  2.156  67  2 0 2
14.6  6.059  44  1 1 0
20.6  4.312  38  1 0 1
36.2  2.479  35  3 0 1
61.0  1.520  25  4 2 2
33.1  2.710  21  3 1 0
69.3  1.355  16  6 2 0
49.7  1.835  14  3 1 2
61.2  1.515  13  4 4 0
68.9  1.363  13  3 2 3